Calculated X-ray powder pattern of RbNp2CuSe4 for Cu Kα, 1.54184 Å, from a PBE-relaxed structure.

Structural model:
```
data_RbNp2CuSe4
_chemical_formula_sum 'Rb4 Np8 Cu4 Se16'
_cell_length_a 4.1654
_cell_length_b 14.4344
_cell_length_c 14.4004
_cell_angle_alpha 90.00
_cell_angle_beta 90.00
_cell_angle_gamma 90.00
_symmetry_space_group_name_H-M 'C m c m'
_symmetry_Int_Tables_number 63
_symmetry_space_group_name_Hall '-C 2c 2'
loop_
_atom_site_label
_atom_site_fract_x
_atom_site_fract_y
_atom_site_fract_z
Rb1 0.0000 0.1083 0.2500
Np1 0.0000 0.3674 0.0602
Cu1 0.0000 0.1632 0.7500
Se1 0.0000 0.0000 0.0000
Se2 0.0000 0.2615 0.6100
Se3 0.0000 0.4274 0.2500
```

Largest 6 diffraction maxima, low angle first, 2θ from 10° to 90°:
12.29 deg, I 46; 13.72 deg, I 55; 22.23 deg, I 82; 29.03 deg, I 74; 30.99 deg, I 100; 42.51 deg, I 89